Theoretical X-ray diffraction stick pattern
Compound: PbO
Radiation: Cu Kα
Structure: DFT lattice parameters and positions (PBE)
Neutral-atom scattering factors, no anomalous dispersion.

a b c (Å): 6.148 5.728 4.817
angles (deg): 90.00 90.00 90.00
Element x y z (fractional)
Pb  0.221  0.018  0.250
Pb  0.221  0.482  0.750
Pb  0.779  0.518  0.250
Pb  0.779  0.982  0.750
O  0.132  0.094  0.750
O  0.132  0.406  0.250
O  0.868  0.594  0.750
O  0.868  0.906  0.250

The 8 most intense peaks (5 to 70 degrees two-theta), sorted by position:
| 2θ/deg | I (rel.) | hkl |
| --- | --- | --- |
| 28.23 | 100 | 1 1 1 |
| 29.05 | 24 | 2 0 0 |
| 31.23 | 23 | 0 2 0 |
| 37.34 | 17 | 0 0 2 |
| 43.17 | 16 | 2 2 0 |
| 50.99 | 19 | 3 1 1 |
| 53.75 | 18 | 1 3 1 |
| 58.37 | 13 | 2 2 2 |